# 1
Starting from the PBE geometry in OQMD, the powder X-ray diffraction pattern of BePdF6 was calculated for Cu Kα, 1.54184 Å.
Lines closer than 0.1° are merged.

Structure:
```
data_BePdF6
_cell_length_a 4.5544
_cell_length_b 4.5544
_cell_length_c 12.5234
_cell_angle_alpha 90.00
_cell_angle_beta 90.00
_cell_angle_gamma 120.00
_symmetry_space_group_name_H-M 'R -3'
_symmetry_Int_Tables_number 148
_symmetry_space_group_name_Hall '-R 3'
loop_
_atom_site_label
_atom_site_fract_x
_atom_site_fract_y
_atom_site_fract_z
Be1 0.0000 0.0000 0.0000
Pd1 0.0000 0.0000 0.5000
F1 0.0059 0.3153 0.9221
```

Most intense lines, 2θ from 5° to 70°, by angle:
21.28 deg, rel. 32, (0 0 3); 23.65 deg, rel. 81, (1 0 1); 26.71 deg, rel. 100, (0 1 2); 36.65 deg, rel. 39, (1 0 4); 42.77 deg, rel. 24, (0 1 5); 45.37 deg, rel. 68, (2 -1 3); 46.62 deg, rel. 21, (0 2 1); 48.39 deg, rel. 16, (2 0 2); 60.14 deg, rel. 37, (1 1 6); 64.22 deg, rel. 15, (1 2 2)



# 2
Starting from the PBE geometry in OQMD, the powder X-ray diffraction pattern of U2AuF11 was calculated for Cu Kα, 1.54184 Å.
Lines closer than 0.1° are merged.

Structure:
```
data_U2AuF11
_cell_length_a 10.920
_cell_length_b 10.920
_cell_length_c 6.164
_cell_angle_alpha 90.00
_cell_angle_beta 90.00
_cell_angle_gamma 90.00
_symmetry_space_group_name_H-M 'I 4/m c m'
_symmetry_Int_Tables_number 140
_symmetry_space_group_name_Hall '-I 4 2c'
loop_
_atom_site_label
_atom_site_fract_x
_atom_site_fract_y
_atom_site_fract_z
U1 0.146 0.354 0.000
Au1 0.000 0.000 0.000
F1 0.000 0.313 0.250
F2 0.000 0.500 0.000
F3 0.110 0.158 0.000
F4 0.250 0.250 0.250
```

Most intense lines, 2θ from 5° to 70°, by angle:
23.24 deg, rel. 100, (2 1 1); 25.80 deg, rel. 51, (3 1 0); 28.97 deg, rel. 23, (0 0 2); 39.18 deg, rel. 29, (3 1 2); 47.08 deg, rel. 12, (4 4 0); 47.18 deg, rel. 26, (5 2 1); 47.51 deg, rel. 18, (4 2 2); 48.04 deg, rel. 15, (2 1 3); 56.23 deg, rel. 12, (4 4 2); 64.57 deg, rel. 10, (5 2 3)



# 3
Starting from the PBE geometry in OQMD, the powder X-ray diffraction pattern of Pr2NdNi8Pt was calculated for Cu Kα, 1.54184 Å.
Lines closer than 0.1° are merged.

Structure:
```
data_Pr2NdNi8Pt
_cell_length_a 5.0729
_cell_length_b 5.0729
_cell_length_c 25.1571
_cell_angle_alpha 90.00
_cell_angle_beta 90.00
_cell_angle_gamma 120.00
_symmetry_space_group_name_H-M 'R -3 m'
_symmetry_Int_Tables_number 166
_symmetry_space_group_name_Hall '-R 3 2"'
loop_
_atom_site_label
_atom_site_fract_x
_atom_site_fract_y
_atom_site_fract_z
Pr1 0.0000 0.0000 0.1369
Nd1 0.0000 0.0000 0.0000
Ni1 0.0000 0.0000 0.3329
Ni2 0.0026 0.5013 0.9217
Pt1 0.0000 0.0000 0.5000
```

Most intense lines, 2θ from 5° to 70°, by angle:
32.18 deg, rel. 16, (1 0 7); 35.09 deg, rel. 56, (0 1 8); 35.39 deg, rel. 59, (1 1 0); 41.26 deg, rel. 17, (0 2 1); 41.61 deg, rel. 100, (1 1 6); 41.74 deg, rel. 19, (2 0 2); 44.67 deg, rel. 18, (0 1 11); 45.03 deg, rel. 22, (2 0 5); 63.34 deg, rel. 19, (1 2 8); 67.78 deg, rel. 23, (3 0 6)



Number 2 is which compound?
U2AuF11